Starting from the GGA-PBE geometry in Alexandria, the XRD peak list of KPuMnS3 was calculated for Cu Kα (λ = 1.5418 Å).

Cell and atoms:
Unit cell a=8.7468 b=4.0710 c=9.3653 alpha=90.00 beta=106.34 gamma=90.00
Atoms (fractional coordinates):
K: 0.2006 0.2500 0.2297
K: 0.7994 0.7500 0.7703
Pu: 0.3286 0.7500 0.8479
Pu: 0.6714 0.2500 0.1521
Mn: 0.0878 0.2500 0.6074
Mn: 0.9122 0.7500 0.3926
S: 0.1201 0.2500 0.8630
S: 0.1973 0.7500 0.5338
S: 0.4612 0.7500 0.1488
S: 0.5388 0.2500 0.8512
S: 0.8027 0.2500 0.4662
S: 0.8799 0.7500 0.1370

Peak list (10 most intense, 10 to 80 degrees two-theta, low angle first)
d [Å]	2θ (°)	I (rel.)	(hkl)
7.233	12.24	100	1 0 -1
3.663	24.30	12	1 1 0
3.616	24.62	16	2 0 -2
3.255	27.40	15	1 1 1
3.017	29.61	14	0 1 2
2.996	29.83	15	0 0 3
2.954	30.25	30	2 1 -1
2.922	30.60	28	2 1 0
2.472	36.34	16	1 1 -3
1.978	45.87	14	2 1 -4